Calculated PXRD pattern
Compound: RbCeMn2F8
Radiation: Cu Ka
Structure: a cell relaxed with PBE+U
Intensities are scaled so that the largest is 100.

```
data_RbCeMn2F8
_chemical_formula_sum 'Rb1 Ce1 Mn2 F8'
_cell_length_a 6.4273
_cell_length_b 6.4273
_cell_length_c 7.6866
_cell_angle_alpha 90.00
_cell_angle_beta 90.00
_cell_angle_gamma 120.00
_symmetry_space_group_name_H-M 'P -3 m 1'
_symmetry_Int_Tables_number 164
_symmetry_space_group_name_Hall '-P 3 2"'
loop_
_atom_site_label
_atom_site_type_symbol
_atom_site_fract_x
_atom_site_fract_y
_atom_site_fract_z
Rb1 Rb 0.0000 0.0000 0.0000
Ce1 Ce 0.0000 0.0000 0.5000
Mn1 Mn 0.3333 0.6667 0.3591
F1 F 0.1557 0.3113 0.2960
F2 F 0.3333 0.6667 0.6097
```

Most intense lines, 10 to 90 degrees two-theta, low angle first:
| two_theta | I (rel.) |
| --- | --- |
| 11.51 | 82 |
| 15.92 | 100 |
| 19.69 | 27 |
| 27.76 | 97 |
| 28.22 | 79 |
| 30.14 | 28 |
| 36.44 | 48 |
| 40.00 | 49 |
| 49.38 | 41 |
| 50.23 | 31 |